No. 1
The following is a theoretical X-ray powder pattern of NdSi2Ni2. It was derived from the GGA-PBE geometry in the Materials Project, using Cu Kα.

Main lines, low angle first (2θ from 10° to 90°):
hkl 1 0 1, 23.8 deg, intensity 43.7; hkl 1 0 3, 35.7 deg, intensity 51.2; hkl 1 1 2, 36.5 deg, intensity 100.0; hkl 0 0 4, 37.4 deg, intensity 15.2; hkl 2 0 0, 44.8 deg, intensity 41.5; hkl 1 0 5, 52.7 deg, intensity 14.8; hkl 2 1 3, 58.5 deg, intensity 24.2; hkl 2 0 4, 59.7 deg, intensity 14.9; hkl 1 1 6, 66.9 deg, intensity 17.8; hkl 3 1 2, 77.1 deg, intensity 21.1

Cell: 4.049 4.049 9.614 Å, 90.00 90.00 90.00°
Space group I4/mmm (No. 139)
Asymmetric unit:
Nd: 0.000 0.000 0.000 x2
Si: 0.000 0.000 0.370 x4
Ni: 0.000 0.500 0.250 x4

No. 2
The following is a theoretical X-ray powder pattern of Nd6Si3Ni2. It was derived from the GGA-PBE geometry in the Materials Project, using Cu Kα.

Main lines, low angle first (2θ from 10° to 90°):
hkl 1 1 0, 21.6 deg, intensity 15.2; hkl 2 1 -3, 30.5 deg, intensity 100.0; hkl 3 1 -1, 30.6 deg, intensity 48.5; hkl 1 0 3, 31.5 deg, intensity 15.5; hkl 3 0 -4, 31.7 deg, intensity 15.0; hkl 4 0 -1, 31.8 deg, intensity 14.6; hkl 3 1 0, 33.1 deg, intensity 17.0; hkl 0 2 0, 40.0 deg, intensity 21.9; hkl 5 0 -4, 40.7 deg, intensity 13.6; hkl 2 3 -3, 66.8 deg, intensity 15.3

Cell: 11.720 4.507 11.798 Å, 90.00 119.73 90.00°
Space group Pm (No. 6)
Asymmetric unit:
Nd: 0.000 0.000 0.000 x1
Nd: 0.005 0.500 0.232 x1
Nd: 0.097 0.500 0.605 x1
Nd: 0.234 0.500 0.995 x1
Nd: 0.247 0.000 0.466 x1
Nd: 0.374 0.000 0.849 x1
Nd: 0.469 0.000 0.221 x1
Nd: 0.474 0.500 0.456 x1
Nd: 0.619 0.000 0.749 x1
Nd: 0.714 0.000 0.092 x1
Nd: 0.752 0.500 0.368 x1
Nd: 0.859 0.500 0.716 x1
Si: 0.085 0.000 0.788 x1
Si: 0.390 0.500 0.670 x1
Si: 0.575 0.500 0.902 x1
Si: 0.679 0.000 0.519 x1
Si: 0.904 0.000 0.564 x1
Si: 0.951 0.000 0.385 x1
Ni: 0.237 0.249 0.228 x2
Ni: 0.527 0.500 0.081 x1
Ni: 0.800 0.500 0.948 x1

No. 3
The following is a theoretical X-ray powder pattern of NdSi2Ni. It was derived from the GGA-PBE geometry in the Materials Project, using Cu Kα.

Main lines, low angle first (2θ from 10° to 90°):
hkl 0 4 0, 21.6 deg, intensity 28.2; hkl 0 2 1, 24.4 deg, intensity 27.7; hkl 0 4 1, 30.9 deg, intensity 29.1; hkl 1 1 1, 31.3 deg, intensity 84.1; hkl 1 5 0, 34.8 deg, intensity 80.7; hkl 1 3 1, 35.0 deg, intensity 100.0; hkl 0 6 1, 39.7 deg, intensity 40.5; hkl 2 0 0, 43.7 deg, intensity 36.3; hkl 0 0 2, 44.5 deg, intensity 34.2; hkl 1 5 2, 57.8 deg, intensity 36.6

Cell: 4.146 16.427 4.068 Å, 90.00 90.00 90.00°
Space group Cmcm (No. 63)
Asymmetric unit:
Nd: 0.000 0.107 0.250 x4
Si: 0.000 0.250 0.750 x4
Si: 0.000 0.459 0.250 x4
Ni: 0.000 0.319 0.250 x4

No. 4
The following is a theoretical X-ray powder pattern of Nd3Si2Ni6. It was derived from the GGA-PBE geometry in the Materials Project, using Cu Kα.

Main lines, low angle first (2θ from 10° to 90°):
hkl 2 1 1, 24.4 deg, intensity 15.1; hkl 2 2 0, 28.3 deg, intensity 15.4; hkl 3 1 0, 31.7 deg, intensity 36.6; hkl 2 2 2, 34.8 deg, intensity 26.4; hkl 3 2 1, 37.7 deg, intensity 33.0; hkl 4 0 0, 40.4 deg, intensity 23.3; hkl 3 3 0, 43.0 deg, intensity 100.0; hkl 5 3 2, 64.3 deg, intensity 20.8; hkl 6 2 2, 69.9 deg, intensity 18.2; hkl 6 3 3, 78.8 deg, intensity 21.1

Cell: 8.924 8.924 8.924 Å, 90.00 90.00 90.00°
Space group Im-3m (No. 229)
Asymmetric unit:
Nd: 0.000 0.000 0.284 x12
Si: 0.250 0.250 0.250 x8
Ni: 0.000 0.331 0.331 x24